(1)
Diffraction record for CaPaZn17. The PXRD pattern is simulated, not measured: it uses a PBE-relaxed structure and a wavelength of 1.5418 Å.
Peak positions follow from Bragg's law for the DFT cell and can differ from measured ones.

```
data_CaPaZn17
_symmetry_space_group_name_H-M 'R 3 m'
_symmetry_Int_Tables_number 160
_symmetry_space_group_name_Hall 'R 3 -2"'
_cell_length_a 9.0093
_cell_length_b 9.0093
_cell_length_c 13.2211
_cell_angle_alpha 90.00
_cell_angle_beta 90.00
_cell_angle_gamma 120.00
loop_
_atom_site_label
_atom_site_type_symbol
_atom_site_fract_x
_atom_site_fract_y
_atom_site_fract_z
_atom_site_occupancy
Ca1 Ca 0.0000 0.0000 0.0000 1
Pa1 Pa 0.0000 0.0000 0.3258 1
Zn1 Zn 0.0000 0.0000 0.5605 1
Zn2 Zn 0.0000 0.0000 0.7602 1
Zn3 Zn 0.0000 0.2962 0.6623 1
Zn4 Zn 0.0005 0.5003 0.1617 1
Zn5 Zn 0.0046 0.5023 0.8140 1
Zn6 Zn 0.1736 0.3471 0.8439 1
```

Main lines, most intense first (2θ from 15° to 90°):
index, 2θ (°), intensity
0 3 3, 40.3, 100
2 2 0, 40.0, 60
0 0 6, 41.0, 51
3 0 0, 34.5, 38
2 2 3, 45.2, 37
0 2 4, 35.6, 29
6 0 0, 72.7, 25
2 0 5, 41.2, 24
2 2 6, 58.6, 22
1 1 3, 28.3, 21

=====

(2)
Diffraction record for Ca5Pb. The PXRD pattern is simulated, not measured: it uses a PBE-relaxed structure and a wavelength of 1.5418 Å.
Peak positions follow from Bragg's law for the DFT cell and can differ from measured ones.

```
data_Ca5Pb
_symmetry_space_group_name_H-M 'C 1 m 1'
_symmetry_Int_Tables_number 8
_cell_length_a 13.403
_cell_length_b 4.387
_cell_length_c 7.942
_cell_angle_alpha 90.00
_cell_angle_beta 107.95
_cell_angle_gamma 90.00
loop_
_symmetry_equiv_pos_as_xyz
'x,y,z'
'x,-y,z'
'x+1/2,y+1/2,z'
'x+1/2,-y+1/2,z'
loop_
_atom_site_label
_atom_site_type_symbol
_atom_site_fract_x
_atom_site_fract_y
_atom_site_fract_z
_atom_site_occupancy
Ca1 Ca 0.000 0.000 0.000 1
Ca2 Ca 0.013 0.000 0.461 1
Ca3 Ca 0.159 0.500 0.808 1
Ca4 Ca 0.304 0.000 0.156 1
Ca5 Ca 0.317 0.000 0.617 1
Pb1 Pb 0.159 0.500 0.309 1
```

Main lines, most intense first (2θ from 15° to 90°):
index, 2θ (°), intensity
3 1 0, 29.3, 100
1 1 -2, 30.4, 91
2 0 2, 31.0, 43
4 0 -2, 30.6, 41
2 0 -1, 15.2, 36
2 0 -2, 23.4, 29
0 2 0, 41.1, 28
1 1 0, 21.4, 26
3 1 -1, 29.0, 22
1 1 1, 25.5, 21